No. 1
Computed X-ray diffraction stick pattern
Compound: Sr4CaYCo2Cu4O14
Radiation: CuKα
Structure: a DFT-relaxed cell (GGA+U, the Materials Project)

Peak list (12 most intense, 15° ≤ 2θ ≤ 90°, low angle first)
index, d [Å], 2theta, I (rel.)
1 -1 3, 2.737, 32.72, 68
0 2 -1, 2.728, 32.84, 100
2 0 -1, 2.719, 32.94, 41
0 0 5, 2.326, 38.72, 16
1 1 -5, 2.319, 38.84, 25
0 0 6, 1.938, 46.87, 11
2 -2 0, 1.933, 47.02, 25
2 2 -2, 1.919, 47.37, 21
-1 3 2, 1.580, 58.41, 14
1 -3 4, 1.578, 58.50, 14
3 -1 2, 1.575, 58.62, 16
0 4 -2, 1.364, 68.84, 10

Structural model:
```
data_Sr4CaYCo2Cu4O14
_chemical_formula_sum 'Sr4 Ca1 Y1 Co2 Cu4 O14'
_cell_length_a 5.4388
_cell_length_b 5.4555
_cell_length_c 12.2447
_cell_angle_alpha 102.69
_cell_angle_beta 102.79
_cell_angle_gamma 90.40
_symmetry_space_group_name_H-M 'P -1'
_symmetry_Int_Tables_number 2
loop_
_symmetry_equiv_pos_as_xyz
'x,y,z'
'-x,-y,-z'
loop_
_atom_site_label
_atom_site_type_symbol
_atom_site_fract_x
_atom_site_fract_y
_atom_site_fract_z
Sr1 Sr 0.1447 0.1605 0.3018
Sr2 Sr 0.3390 0.3627 0.7003
Ca1 Ca 0.5000 0.5000 0.0000
Y1 Y 0.0000 0.0000 0.0000
Co1 Co 0.3140 0.8096 0.5001
Cu1 Cu 0.0763 0.5740 0.1481
Cu2 Cu 0.4245 0.9271 0.8514
O1 O 0.1614 0.6556 0.3525
O2 O 0.1769 0.1793 0.8689
O3 O 0.1824 0.6920 0.8755
O4 O 0.3108 0.3088 0.1303
O5 O 0.3114 0.8003 0.6476
O6 O 0.3137 0.8211 0.1340
O7 O 0.3265 0.1698 0.5016
```


No. 2
Computed X-ray diffraction stick pattern
Compound: LiFeF4
Radiation: CuKα
Structure: a DFT-relaxed cell (GGA+U, the Materials Project)

Peak list (12 most intense, 15° ≤ 2θ ≤ 90°, low angle first)
index, d [Å], 2theta, I (rel.)
1 1 1, 5.024, 17.65, 100
0 2 0, 4.410, 20.14, 32
0 0 2, 4.338, 20.47, 12
1 1 2, 3.545, 25.12, 28
0 2 2, 3.092, 28.87, 11
2 1 2, 2.888, 30.97, 13
0 1 3, 2.746, 32.61, 10
3 1 1, 2.604, 34.44, 11
2 3 1, 2.339, 38.49, 14
3 3 1, 1.999, 45.37, 16
2 1 4, 1.891, 48.11, 11
2 3 4, 1.618, 56.93, 16

Structural model:
```
data_LiFeF4
_chemical_formula_sum 'Li8 Fe8 F32'
_cell_length_a 8.6142
_cell_length_b 8.8193
_cell_length_c 8.6755
_cell_angle_alpha 90.00
_cell_angle_beta 90.00
_cell_angle_gamma 90.00
_symmetry_space_group_name_H-M 'P n m a'
_symmetry_Int_Tables_number 62
loop_
_symmetry_equiv_pos_as_xyz
'x,y,z'
'-x,-y,-z'
'-x+1/2,-y,z+1/2'
'x+1/2,y,-z+1/2'
'x+1/2,-y+1/2,-z+1/2'
'-x+1/2,y+1/2,z+1/2'
'-x,y+1/2,-z'
'x,-y+1/2,z'
loop_
_atom_site_label
_atom_site_type_symbol
_atom_site_fract_x
_atom_site_fract_y
_atom_site_fract_z
Li1 Li 0.2169 0.0303 0.1929
Fe1 Fe 0.0628 0.2500 0.8852
Fe2 Fe 0.1125 0.7500 0.4944
F1 F 0.0547 0.2500 0.6526
F2 F 0.0742 0.5904 0.6309
F3 F 0.0784 0.5948 0.0915
F4 F 0.1607 0.2500 0.1026
F5 F 0.2490 0.6067 0.3660
```